Record 1
This entry pairs a crystal structure of Na6Cu2AsC4O16 with its calculated powder diffractogram. Radiation: CuKα. Structure: DFT lattice parameters and positions (GGA-PBE).
Kinematic intensities with the Lorentz-polarization factor, no thermal factor.

Crystal structure
```
58
Lattice="0.0000 6.9684 6.9684 6.9684 0.0000 6.9684 6.9684 6.9684 0.0000" Properties=species:S:1:pos:R:3 pbc="T T T"
Na 5.2263 5.2263 1.2110
Na 5.2263 1.2110 5.2263
Na 9.2415 5.2263 5.2263
Na 8.7105 8.7105 4.6952
Na 8.7105 4.6952 8.7105
Na 12.7257 8.7105 8.7105
Na 1.2110 5.2263 5.2263
Na 5.2263 9.2415 5.2263
Na 5.2263 5.2263 9.2415
Na 4.6952 8.7105 8.7105
Na 8.7105 12.7257 8.7105
Na 8.7105 8.7105 12.7257
Cu 6.9684 3.4842 3.4842
Cu 3.4842 6.9684 3.4842
Cu 3.4842 3.4842 6.9684
Cu 6.9684 6.9684 6.9684
As 1.7421 1.7421 1.7421
As 12.1947 12.1947 12.1947
C 3.9462 3.9462 3.9462
C 6.5064 6.5064 3.9462
C 6.5064 3.9462 6.5064
C 9.9906 7.4304 7.4304
C 3.9462 6.5064 6.5064
C 7.4304 9.9906 7.4304
C 7.4304 7.4304 9.9906
C 9.9906 9.9906 9.9906
O 0.7530 0.7530 0.7530
O 2.7312 2.7312 0.7530
O 2.7312 0.7530 2.7312
O 4.9201 3.7663 3.1133
O 7.3393 5.5325 3.7663
O 6.6863 3.1133 5.5325
O 5.5325 6.6863 3.1133
O 3.7663 3.1133 4.9201
O 7.3393 4.9201 6.6863
O 0.7530 2.7312 2.7312
O 9.0167 7.2505 6.5975
O 10.8235 8.4043 7.2505
O 10.1705 6.5975 8.4043
O 3.1133 4.9201 3.7663
O 6.6863 7.3393 4.9201
O 5.5325 3.7663 7.3393
O 8.4043 10.1705 6.5975
O 7.2505 6.5975 9.0167
O 10.8235 9.0167 10.1705
O 3.7663 7.3393 5.5325
O 3.1133 5.5325 6.6863
O 4.9201 6.6863 7.3393
O 13.1838 11.2056 11.2056
O 6.5975 9.0167 7.2505
O 10.1705 10.8235 9.0167
O 8.4043 7.2505 10.8235
O 7.2505 10.8235 8.4043
O 6.5975 8.4043 10.1705
O 9.0167 10.1705 10.8235
O 11.2056 13.1838 11.2056
O 11.2056 11.2056 13.1838
O 13.1838 13.1838 13.1838
```

The 10 most intense peaks (2θ from 5° to 70°), most intense first:
- 21.1°, I = 100.0
- 33.4°, I = 84.8
- 36.5°, I = 70.1
- 57.2°, I = 35.9
- 18.0°, I = 20.4
- 50.3°, I = 18.6
- 43.1°, I = 17.6
- 69.8°, I = 15.5
- 65.6°, I = 15.1
- 63.7°, I = 14.5

***

Record 2
This entry pairs a crystal structure of Ce3CrS6 with its calculated powder diffractogram. Radiation: CuKα. Structure: DFT lattice parameters and positions (GGA-PBE).
Kinematic intensities with the Lorentz-polarization factor, no thermal factor.

Crystal structure
```
40
Lattice="13.5070 0.0000 0.0000 0.0000 16.1189 0.0000 0.0000 0.0000 3.8777" Properties=species:S:1:pos:R:3 pbc="T T T"
Ce 0.6750 3.4587 0.0000
Ce 2.4297 10.4376 0.0000
Ce 3.2691 14.5361 1.9388
Ce 3.4844 6.4766 0.0000
Ce 4.3238 2.3782 1.9388
Ce 6.0785 11.5181 1.9388
Ce 7.4284 4.6008 1.9388
Ce 9.1832 13.7407 1.9388
Ce 10.0226 9.6423 0.0000
Ce 10.2379 1.5828 1.9388
Ce 11.0773 5.6813 0.0000
Ce 12.8320 12.6602 0.0000
Cr 0.0000 0.0000 1.9388
Cr 0.0000 8.0595 1.9388
Cr 6.7535 0.0000 0.0000
Cr 6.7535 8.0595 0.0000
S 0.3229 6.5121 0.0000
S 1.1456 14.9482 0.0000
S 1.3479 12.1359 1.9388
S 1.6587 1.6409 1.9388
S 2.4126 8.3759 1.9388
S 2.5123 4.6609 1.9388
S 4.2412 12.7204 0.0000
S 4.3408 0.3164 0.0000
S 5.0948 9.7004 0.0000
S 5.4056 4.0764 0.0000
S 5.6079 6.8887 1.9388
S 6.4306 14.5716 1.9388
S 7.0763 1.5473 1.9388
S 7.8991 9.2302 1.9388
S 8.1014 12.0425 0.0000
S 8.4121 6.4185 0.0000
S 9.1661 15.8025 0.0000
S 9.2658 3.3985 0.0000
S 10.9947 11.4580 1.9388
S 11.0943 7.7430 1.9388
S 11.8483 14.4780 1.9388
S 12.1591 3.9830 1.9388
S 12.3614 1.1707 0.0000
S 13.1841 9.6068 0.0000
```

The 10 most intense peaks (2θ from 5° to 70°), most intense first:
- 25.8°, I = 100.0
- 34.8°, I = 89.2
- 36.2°, I = 65.0
- 41.1°, I = 62.7
- 46.8°, I = 59.6
- 26.4°, I = 56.8
- 31.4°, I = 46.3
- 27.1°, I = 45.7
- 27.0°, I = 42.3
- 34.7°, I = 42.0

***

Record 3
This entry pairs a crystal structure of Cs2AgAuCl6 with its calculated powder diffractogram. Radiation: CuKα. Structure: DFT lattice parameters and positions (GGA-PBE).
Kinematic intensities with the Lorentz-polarization factor, no thermal factor.

Crystal structure
```
10
Lattice="-3.7278 3.7278 5.7161 3.7278 -3.7278 5.7161 3.7278 3.7278 -5.7161" Properties=species:S:1:pos:R:3 pbc="T T T"
Cs 3.7278 0.0000 2.8581
Cs 0.0000 3.7278 2.8581
Ag 0.0000 0.0000 0.0000
Au 0.0000 0.0000 5.7161
Cl 0.0000 0.0000 2.4017
Cl 2.0586 2.0586 0.0000
Cl 1.6692 -1.6692 5.7161
Cl -1.6692 1.6692 5.7161
Cl 1.6692 1.6692 5.7161
Cl 0.0000 0.0000 9.0306
```

The 10 most intense peaks (2θ from 5° to 70°), most intense first:
- 22.9°, I = 100.0
- 23.9°, I = 44.6
- 34.0°, I = 42.3
- 41.4°, I = 41.0
- 46.9°, I = 30.3
- 31.3°, I = 25.4
- 39.7°, I = 21.0
- 62.7°, I = 14.9
- 51.0°, I = 14.5
- 59.2°, I = 14.3

***

Record 4
This entry pairs a crystal structure of LaF3 with its calculated powder diffractogram. Radiation: CuKα. Structure: DFT lattice parameters and positions (GGA-PBE).
Kinematic intensities with the Lorentz-polarization factor, no thermal factor.

Crystal structure
```
8
Lattice="4.1928 0.0000 0.0000 -2.0964 3.6310 0.0000 0.0000 0.0000 7.3780" Properties=species:S:1:pos:R:3 pbc="T T T"
La 0.0000 2.4207 1.8445
La 2.0964 1.2103 5.5335
F 0.0000 0.0000 1.8445
F 0.0000 0.0000 5.5335
F 0.0000 2.4207 4.2689
F 0.0000 2.4207 6.7980
F 2.0964 1.2103 0.5799
F 2.0964 1.2103 3.1090
```

The 10 most intense peaks (2θ from 5° to 70°), most intense first:
- 27.4°, I = 100.0
- 44.5°, I = 58.8
- 43.2°, I = 52.9
- 24.1°, I = 40.3
- 50.0°, I = 33.5
- 24.5°, I = 30.0
- 63.7°, I = 18.9
- 51.9°, I = 17.9
- 69.7°, I = 15.2
- 67.7°, I = 14.5